The following is a computed powder diffractogram of NdDyEr2Sb4. It was derived from a cell relaxed with GGA-PBE, using Cu Kα.
No peak broadening, texture or thermal motion is included.

Structure:
Unit cell a=7.6261 b=4.4085 c=7.6294 alpha=90.00 beta=109.49 gamma=90.00
Sites, in units of the cell vectors:
Nd1 0.0000 0.0000 0.0000
Dy1 0.0000 0.5000 0.5000
Er1 0.5000 0.0000 0.5000
Er2 0.5000 0.5000 0.0000
Sb1 0.2552 0.0000 0.7477
Sb2 0.2582 0.5000 0.2567
Sb3 0.7418 0.5000 0.7433
Sb4 0.7448 0.0000 0.2523

Top 10 peaks for 2θ = 10–80°, in order of rising 2θ:
- 12.31°, rel. 5
- 24.75°, rel. 34
- 28.66°, rel. 1000
- 40.97°, rel. 761
- 48.46°, rel. 19
- 50.77°, rel. 271
- 59.34°, rel. 127
- 65.29°, rel. 9
- 67.20°, rel. 347
- 74.63°, rel. 256


The following is a computed powder diffractogram of NdDy2Er5Sc. It was derived from a cell relaxed with GGA-PBE, using Cu Kα.
No peak broadening, texture or thermal motion is included.

Structure:
Unit cell a=10.1834 b=10.1834 c=10.3355 alpha=90.00 beta=90.00 gamma=148.45
Sites, in units of the cell vectors:
Nd1 0.0865 0.9135 0.5000
Nd2 0.9135 0.0865 0.0000
Dy1 0.3862 0.6138 0.7811
Dy2 0.3888 0.6112 0.3616
Dy3 0.6112 0.3888 0.8616
Dy4 0.6138 0.3862 0.2811
Er1 0.0195 0.9805 0.7848
Er2 0.1232 0.8768 0.0669
Er3 0.2019 0.7981 0.7526
Er4 0.2233 0.7767 0.3689
Er5 0.4814 0.5186 0.0672
Er6 0.5186 0.4814 0.5672
Er7 0.7767 0.2233 0.8689
Er8 0.7981 0.2019 0.2526
Er9 0.8768 0.1232 0.5669
Er10 0.9805 0.0195 0.2848
Sc1 0.3034 0.6966 0.0610
Sc2 0.6966 0.3034 0.5610

Top 10 peaks for 2θ = 10–80°, in order of rising 2θ:
- 27.27°, rel. 224
- 28.66°, rel. 190
- 30.91°, rel. 414
- 32.34°, rel. 501
- 32.93°, rel. 1000
- 43.74°, rel. 121
- 52.38°, rel. 139
- 58.04°, rel. 198
- 60.88°, rel. 123
- 62.92°, rel. 163


The following is a computed powder diffractogram of Nd2DyErSc. It was derived from a cell relaxed with GGA-PBE, using Cu Kα.
No peak broadening, texture or thermal motion is included.

Structure:
Unit cell a=6.3623 b=7.8084 c=6.4245 alpha=90.00 beta=93.08 gamma=90.00
Sites, in units of the cell vectors:
Nd1 0.2319 0.2009 0.3066
Nd2 0.2319 0.7991 0.3066
Nd3 0.7681 0.2009 0.6934
Nd4 0.7681 0.7991 0.6934
Dy1 0.4157 0.5000 0.7557
Dy2 0.5843 0.5000 0.2443
Er1 0.2788 0.0000 0.8204
Er2 0.7212 0.0000 0.1796
Sc1 0.0000 0.5000 0.0000
Sc2 0.0000 0.5000 0.5000

Top 10 peaks for 2θ = 10–80°, in order of rising 2θ:
- 26.76°, rel. 302
- 27.81°, rel. 555
- 28.09°, rel. 276
- 29.91°, rel. 1000
- 30.38°, rel. 612
- 30.62°, rel. 919
- 31.92°, rel. 500
- 32.67°, rel. 464
- 39.72°, rel. 360
- 45.87°, rel. 194


The following is a computed powder diffractogram of Nd2DyEr6Sc3. It was derived from a cell relaxed with GGA-PBE, using Cu Kα.
No peak broadening, texture or thermal motion is included.

Structure:
Unit cell a=6.0463 b=6.0463 c=11.4678 alpha=95.04 beta=95.04 gamma=119.99
Sites, in units of the cell vectors:
Nd1 0.1668 0.8332 0.0000
Nd2 0.8332 0.1668 0.0000
Dy1 0.5000 0.5000 0.0000
Er1 0.0799 0.4128 0.7387
Er2 0.2545 0.2545 0.2613
Er3 0.4128 0.0799 0.7387
Er4 0.5872 0.9201 0.2613
Er5 0.7455 0.7455 0.7387
Er6 0.9201 0.5872 0.2613
Sc1 0.0000 0.0000 0.5000
Sc2 0.3335 0.6665 0.5000
Sc3 0.6665 0.3335 0.5000

Top 10 peaks for 2θ = 10–80°, in order of rising 2θ:
- 15.70°, rel. 107
- 31.42°, rel. 1000
- 31.70°, rel. 311
- 36.52°, rel. 656
- 52.42°, rel. 238
- 52.79°, rel. 212
- 62.40°, rel. 139
- 62.57°, rel. 264
- 62.91°, rel. 122
- 65.57°, rel. 118


The following is a computed powder diffractogram of Nd2Sm2DyEr. It was derived from a cell relaxed with GGA-PBE, using Cu Kα.
No peak broadening, texture or thermal motion is included.

Structure:
Unit cell a=7.0667 b=5.6943 c=9.8698 alpha=90.00 beta=90.00 gamma=90.00
Sites, in units of the cell vectors:
Nd1 0.0000 0.0000 0.0000
Nd2 0.2500 0.5000 0.1774
Nd3 0.5000 0.0000 0.0000
Nd4 0.7500 0.5000 0.8226
Sm1 0.2500 0.0000 0.3314
Sm2 0.2500 0.5000 0.8372
Sm3 0.7500 0.0000 0.6686
Sm4 0.7500 0.5000 0.1628
Dy1 0.2500 0.0000 0.6587
Dy2 0.7500 0.0000 0.3413
Er1 0.0000 0.5000 0.5000
Er2 0.5000 0.5000 0.5000

Top 10 peaks for 2θ = 10–80°, in order of rising 2θ:
- 31.14°, rel. 923
- 31.41°, rel. 1000
- 40.69°, rel. 101
- 44.81°, rel. 338
- 55.74°, rel. 353
- 55.92°, rel. 193
- 61.79°, rel. 290
- 65.55°, rel. 119
- 74.35°, rel. 148
- 79.65°, rel. 138


The following is a computed powder diffractogram of Tb4Nd2DyEr2. It was derived from a cell relaxed with GGA-PBE, using Cu Kα.
No peak broadening, texture or thermal motion is included.

Structure:
Unit cell a=6.0144 b=6.6347 c=8.5881 alpha=79.85 beta=70.43 gamma=65.10
Sites, in units of the cell vectors:
Tb1 0.1185 0.1270 0.2615
Tb2 0.2395 0.5763 0.3847
Tb3 0.7605 0.4237 0.6153
Tb4 0.8815 0.8730 0.7385
Nd1 0.2309 0.3251 0.8422
Nd2 0.7691 0.6749 0.1578
Dy1 0.5000 0.0000 0.5000
Er1 0.3214 0.7703 0.9444
Er2 0.6786 0.2297 0.0556

Top 10 peaks for 2θ = 10–80°, in order of rising 2θ:
- 23.59°, rel. 115
- 29.73°, rel. 412
- 31.31°, rel. 590
- 31.75°, rel. 1000
- 32.32°, rel. 946
- 42.83°, rel. 150
- 44.59°, rel. 129
- 48.08°, rel. 168
- 56.74°, rel. 184
- 58.50°, rel. 184


What did the sixth record say?
The following is a computed powder diffractogram of Tb4Nd2DyEr2. It was derived from a cell relaxed with GGA-PBE, using Cu Kα.
No peak broadening, texture or thermal motion is included.

Structure:
Unit cell a=6.0144 b=6.6347 c=8.5881 alpha=79.85 beta=70.43 gamma=65.10
Sites, in units of the cell vectors:
Tb1 0.1185 0.1270 0.2615
Tb2 0.2395 0.5763 0.3847
Tb3 0.7605 0.4237 0.6153
Tb4 0.8815 0.8730 0.7385
Nd1 0.2309 0.3251 0.8422
Nd2 0.7691 0.6749 0.1578
Dy1 0.5000 0.0000 0.5000
Er1 0.3214 0.7703 0.9444
Er2 0.6786 0.2297 0.0556

Top 10 peaks for 2θ = 10–80°, in order of rising 2θ:
- 23.59°, rel. 115
- 29.73°, rel. 412
- 31.31°, rel. 590
- 31.75°, rel. 1000
- 32.32°, rel. 946
- 42.83°, rel. 150
- 44.59°, rel. 129
- 48.08°, rel. 168
- 56.74°, rel. 184
- 58.50°, rel. 184